CaPdPb2O6: calculated PXRD pattern (Cu Kα (λ = 1.5418 Å)), based on a structure optimized by DFT (PBE).
No peak broadening, texture or thermal motion is included.

The 8 most intense peaks (2θ = 15–90°), by angle:
2theta  intensity
18.19  25
21.46  24
21.61  45
29.62  46
30.46  99
30.81  100
31.84  45
44.04  40

Structure:
abc: 5.6221 6.0326 9.9393
angles: 90.00 123.57 90.00
Space group P2_1/c (No. 14)
Asymmetric unit:
Ca  0.0000  0.0000  0.0000 [2 per cell]
Pd  0.5000  0.0000  0.5000 [2 per cell]
Pb  0.2160  0.0441  0.7294 [4 per cell]
O  0.1632  0.1699  0.4669 [4 per cell]
O  0.2286  0.7310  0.4053 [4 per cell]
O  0.4026  0.0875  0.2767 [4 per cell]